# 1
Diffraction record for AlTl2F5. The X-ray diffraction stick pattern is simulated, not measured: it uses a structure optimized by DFT (PBE) and CuKα.
Intensities are scaled so that the largest is 100.

```
data_AlTl2F5
_cell_length_a 8.965
_cell_length_b 9.039
_cell_length_c 7.592
_cell_angle_alpha 90.00
_cell_angle_beta 90.00
_cell_angle_gamma 90.00
_space_group_name_H-M_alt 'C m c m'
_space_group_IT_number 63
_space_group_name_Hall '-C 2c 2'
loop_
_atom_site_label
_atom_site_type_symbol
_atom_site_fract_x
_atom_site_fract_y
_atom_site_fract_z
Al1 Al 0.000 0.000 0.000
Tl1 Tl 0.239 0.271 0.250
F1 F 0.000 0.010 0.250
F2 F 0.000 0.200 0.512
F3 F 0.203 0.000 0.000
```

Largest 10 diffraction maxima, low angle first, 2θ = 10–80°:
d 4.519, I = 66.7, hkl 0 2 0
d 4.482, I = 69.6, hkl 2 0 0
d 3.796, I = 38.8, hkl 0 0 2
d 3.182, I = 69.4, hkl 2 2 0
d 2.907, I = 67.2, hkl 0 2 2
d 2.897, I = 69.3, hkl 2 0 2
d 2.439, I = 100.0, hkl 2 2 2
d 2.241, I = 23.8, hkl 4 0 0
d 1.782, I = 23.0, hkl 2 4 2
d 1.775, I = 27.6, hkl 4 2 2

# 2
Diffraction record for AlTl2F5. The X-ray diffraction stick pattern is simulated, not measured: it uses a structure optimized by DFT (PBE) and CuKα.
Intensities are scaled so that the largest is 100.

```
data_AlTl2F5
_cell_length_a 8.999
_cell_length_b 9.003
_cell_length_c 7.581
_cell_angle_alpha 90.00
_cell_angle_beta 90.00
_cell_angle_gamma 90.00
_space_group_name_H-M_alt 'C m c m'
_space_group_IT_number 63
_space_group_name_Hall '-C 2c 2'
loop_
_atom_site_label
_atom_site_type_symbol
_atom_site_fract_x
_atom_site_fract_y
_atom_site_fract_z
Al1 Al 0.000 0.000 0.000
Tl1 Tl 0.250 0.248 0.250
F1 F 0.000 0.004 0.750
F2 F 0.000 0.202 0.004
F3 F 0.202 0.000 0.000
```

Largest 10 diffraction maxima, low angle first, 2θ = 10–80°:
d 4.500, I = 100.0, hkl 2 0 0
d 3.791, I = 26.9, hkl 0 0 2
d 3.182, I = 53.0, hkl 2 2 0
d 2.899, I = 99.0, hkl 2 0 2
d 2.437, I = 75.3, hkl 2 2 2
d 2.250, I = 35.6, hkl 4 0 0
d 2.013, I = 28.7, hkl 4 2 0
d 1.935, I = 21.6, hkl 4 0 2
d 1.778, I = 43.7, hkl 4 2 2
d 1.332, I = 18.2, hkl 6 2 2

# 3
Diffraction record for AlTlF4. The X-ray diffraction stick pattern is simulated, not measured: it uses a structure optimized by DFT (PBE) and CuKα.
Intensities are scaled so that the largest is 100.

```
data_AlTlF4
_cell_length_a 3.698
_cell_length_b 3.698
_cell_length_c 6.478
_cell_angle_alpha 90.00
_cell_angle_beta 90.00
_cell_angle_gamma 90.00
_space_group_name_H-M_alt 'P 4/m m m'
_space_group_IT_number 123
_space_group_name_Hall '-P 4 2'
loop_
_atom_site_label
_atom_site_type_symbol
_atom_site_fract_x
_atom_site_fract_y
_atom_site_fract_z
Al1 Al 0.000 0.000 0.000
Tl1 Tl 0.500 0.500 0.500
F1 F 0.000 0.000 0.277
F2 F 0.000 0.500 0.000
```

Largest 10 diffraction maxima, low angle first, 2θ = 10–80°:
d 6.478, I = 47.2, hkl 0 0 1
d 3.698, I = 24.3, hkl 1 0 0
d 3.239, I = 27.8, hkl 0 0 2
d 3.211, I = 100.0, hkl 1 0 1
d 2.615, I = 30.8, hkl 1 1 0
d 2.437, I = 43.3, hkl 1 0 2
d 2.425, I = 46.4, hkl 1 1 1
d 1.865, I = 26.7, hkl 1 0 3
d 1.849, I = 19.4, hkl 2 0 0
d 1.602, I = 27.0, hkl 2 1 1

# 4
Diffraction record for AlTlF4. The X-ray diffraction stick pattern is simulated, not measured: it uses a structure optimized by DFT (PBE) and CuKα.
Intensities are scaled so that the largest is 100.

```
data_AlTlF4
_cell_length_a 5.206
_cell_length_b 5.206
_cell_length_c 12.977
_cell_angle_alpha 90.00
_cell_angle_beta 90.00
_cell_angle_gamma 90.00
_space_group_name_H-M_alt 'I 4/m c m'
_space_group_IT_number 140
_space_group_name_Hall '-I 4 2c'
loop_
_atom_site_label
_atom_site_type_symbol
_atom_site_fract_x
_atom_site_fract_y
_atom_site_fract_z
Al1 Al 0.000 0.000 0.000
Tl1 Tl 0.000 0.500 0.250
F1 F 0.000 0.000 0.138
F2 F 0.223 0.277 0.000
```

Largest 10 diffraction maxima, low angle first, 2θ = 10–80°:
d 6.489, I = 48.1, hkl 0 0 2
d 3.681, I = 25.0, hkl 1 1 0
d 3.244, I = 28.4, hkl 0 0 4
d 3.202, I = 100.0, hkl 1 1 2
d 2.603, I = 31.6, hkl 2 0 0
d 2.434, I = 44.5, hkl 1 1 4
d 2.416, I = 45.8, hkl 2 0 2
d 1.865, I = 26.9, hkl 1 1 6
d 1.841, I = 18.9, hkl 2 2 0
d 1.596, I = 27.9, hkl 3 1 2

# 5
Diffraction record for AlFe. The X-ray diffraction stick pattern is simulated, not measured: it uses a structure optimized by DFT (PBE) and CuKα.
Intensities are scaled so that the largest is 100.

```
data_AlFe
_cell_length_a 2.6502
_cell_length_b 2.6502
_cell_length_c 4.9004
_cell_angle_alpha 90.00
_cell_angle_beta 90.00
_cell_angle_gamma 120.00
_space_group_name_H-M_alt 'P 6/m m m'
_space_group_IT_number 191
_space_group_name_Hall '-P 6 2'
loop_
_atom_site_label
_atom_site_type_symbol
_atom_site_fract_x
_atom_site_fract_y
_atom_site_fract_z
Al1 Al 0.0000 0.0000 0.0000
Fe1 Fe 0.0000 0.0000 0.5000
```

Largest 10 diffraction maxima, low angle first, 2θ = 10–80°:
d 4.900, I = 33.2, hkl 0 0 1
d 2.450, I = 40.6, hkl 0 0 2
d 2.295, I = 100.0, hkl 1 0 0
d 2.078, I = 20.1, hkl 1 0 1
d 1.675, I = 71.1, hkl 1 0 2
d 1.633, I = 1.4, hkl 0 0 3
d 1.331, I = 3.7, hkl 1 0 3
d 1.325, I = 15.4, hkl 1 1 0
d 1.279, I = 3.2, hkl 1 1 1
d 1.225, I = 3.9, hkl 0 0 4

# 6
Diffraction record for AlFe3. The X-ray diffraction stick pattern is simulated, not measured: it uses a structure optimized by DFT (PBE) and CuKα.
Intensities are scaled so that the largest is 100.

```
data_AlFe3
_cell_length_a 3.050
_cell_length_b 4.085
_cell_length_c 7.797
_cell_angle_alpha 90.00
_cell_angle_beta 90.00
_cell_angle_gamma 90.00
_space_group_name_H-M_alt 'C m m m'
_space_group_IT_number 65
_space_group_name_Hall '-C 2 2'
loop_
_atom_site_label
_atom_site_type_symbol
_atom_site_fract_x
_atom_site_fract_y
_atom_site_fract_z
Al1 Al 0.000 0.000 0.000
Fe1 Fe 0.000 0.000 0.500
Fe2 Fe 0.000 0.500 0.251
```

Largest 10 diffraction maxima, low angle first, 2θ = 10–80°:
d 7.797, I = 17.7, hkl 0 0 1
d 3.898, I = 3.6, hkl 0 0 2
d 2.332, I = 3.4, hkl 1 1 1
d 2.071, I = 100.0, hkl 1 1 2
d 2.042, I = 23.9, hkl 0 2 0
d 1.949, I = 20.5, hkl 0 0 4
d 1.525, I = 9.5, hkl 2 0 0
d 1.410, I = 13.1, hkl 0 2 4
d 1.222, I = 7.8, hkl 2 2 0
d 1.201, I = 7.4, hkl 2 0 4

# 7
Diffraction record for AlFe. The X-ray diffraction stick pattern is simulated, not measured: it uses a structure optimized by DFT (PBE) and CuKα.
Intensities are scaled so that the largest is 100.

```
data_AlFe
_cell_length_a 2.874
_cell_length_b 2.874
_cell_length_c 2.874
_cell_angle_alpha 90.00
_cell_angle_beta 90.00
_cell_angle_gamma 90.00
_space_group_name_H-M_alt 'P m -3 m'
_space_group_IT_number 221
_space_group_name_Hall '-P 4 2 3'
loop_
_atom_site_label
_atom_site_type_symbol
_atom_site_fract_x
_atom_site_fract_y
_atom_site_fract_z
Al1 Al 0.000 0.000 0.000
Fe1 Fe 0.500 0.500 0.500
```

Largest 5 diffraction maxima, low angle first, 2θ = 10–80°:
d 2.874, I = 19.7, hkl 1 0 0
d 2.032, I = 100.0, hkl 1 1 0
d 1.659, I = 4.4, hkl 1 1 1
d 1.437, I = 15.2, hkl 2 0 0
d 1.285, I = 4.8, hkl 2 1 0

# 8
Diffraction record for AlFe3. The X-ray diffraction stick pattern is simulated, not measured: it uses a structure optimized by DFT (PBE) and CuKα.
Intensities are scaled so that the largest is 100.

```
data_AlFe3
_cell_length_a 5.745
_cell_length_b 5.745
_cell_length_c 5.745
_cell_angle_alpha 90.00
_cell_angle_beta 90.00
_cell_angle_gamma 90.00
_space_group_name_H-M_alt 'F m -3 m'
_space_group_IT_number 225
_space_group_name_Hall '-F 4 2 3'
loop_
_atom_site_label
_atom_site_type_symbol
_atom_site_fract_x
_atom_site_fract_y
_atom_site_fract_z
Al1 Al 0.000 0.000 0.000
Fe1 Fe 0.000 0.000 0.500
Fe2 Fe 0.250 0.250 0.250
```

Largest 8 diffraction maxima, low angle first, 2θ = 10–80°:
d 3.317, I = 6.8, hkl 1 1 1
d 2.873, I = 3.5, hkl 2 0 0
d 2.031, I = 100.0, hkl 2 2 0
d 1.732, I = 2.8, hkl 3 1 1
d 1.659, I = 0.8, hkl 2 2 2
d 1.436, I = 14.9, hkl 4 0 0
d 1.318, I = 0.9, hkl 3 3 1
d 1.285, I = 0.9, hkl 4 2 0

# 9
Diffraction record for AlFe2. The X-ray diffraction stick pattern is simulated, not measured: it uses a structure optimized by DFT (PBE) and CuKα.
Intensities are scaled so that the largest is 100.

```
data_AlFe2
_cell_length_a 4.1349
_cell_length_b 4.1349
_cell_length_c 2.5522
_cell_angle_alpha 90.00
_cell_angle_beta 90.00
_cell_angle_gamma 120.00
_space_group_name_H-M_alt 'P 6/m m m'
_space_group_IT_number 191
_space_group_name_Hall '-P 6 2'
loop_
_atom_site_label
_atom_site_type_symbol
_atom_site_fract_x
_atom_site_fract_y
_atom_site_fract_z
Al1 Al 0.0000 0.0000 0.0000
Fe1 Fe 0.3333 0.6667 0.5000
```

Largest 10 diffraction maxima, low angle first, 2θ = 10–80°:
d 3.581, I = 23.2, hkl 1 0 0
d 2.552, I = 25.2, hkl 0 0 1
d 2.078, I = 71.6, hkl 1 0 1
d 2.067, I = 100.0, hkl 1 1 0
d 1.790, I = 2.9, hkl 2 0 0
d 1.606, I = 32.3, hkl 1 1 1
d 1.466, I = 21.7, hkl 2 0 1
d 1.353, I = 1.9, hkl 2 1 0
d 1.276, I = 6.1, hkl 0 0 2
d 1.202, I = 1.2, hkl 1 0 2

# 10
Diffraction record for Al3Fe. The X-ray diffraction stick pattern is simulated, not measured: it uses a structure optimized by DFT (PBE) and CuKα.
Intensities are scaled so that the largest is 100.

```
data_Al3Fe
_cell_length_a 5.3750
_cell_length_b 5.3750
_cell_length_c 4.3738
_cell_angle_alpha 90.00
_cell_angle_beta 90.00
_cell_angle_gamma 120.00
_space_group_name_H-M_alt 'P 63/m m c'
_space_group_IT_number 194
_space_group_name_Hall '-P 6c 2c'
loop_
_atom_site_label
_atom_site_type_symbol
_atom_site_fract_x
_atom_site_fract_y
_atom_site_fract_z
Al1 Al 0.1713 0.3426 0.2500
Fe1 Fe 0.3333 0.6667 0.7500
```

Largest 10 diffraction maxima, low angle first, 2θ = 10–80°:
d 4.655, I = 11.0, hkl 1 0 0
d 3.187, I = 16.8, hkl 1 0 1
d 2.687, I = 8.0, hkl 1 1 0
d 2.327, I = 24.6, hkl 2 0 0
d 2.187, I = 27.2, hkl 0 0 2
d 2.055, I = 100.0, hkl 2 0 1
d 1.632, I = 5.7, hkl 2 1 1
d 1.594, I = 14.3, hkl 2 0 2
d 1.344, I = 15.7, hkl 2 2 0
d 1.236, I = 17.7, hkl 2 0 3

# 11
Diffraction record for AlFe2. The X-ray diffraction stick pattern is simulated, not measured: it uses a structure optimized by DFT (PBE) and CuKα.
Intensities are scaled so that the largest is 100.

a = 6.703 Å, b = 6.703 Å, c = 6.703 Å
α = 90.00°, β = 90.00°, γ = 90.00°
Space group Fd-3m (No. 227, origin choice 2)
Symmetry-distinct sites (fractional):
Al1 0.125 0.125 0.125 [8 per cell]
Fe1 0.000 0.000 0.500 [16 per cell]

Largest 8 diffraction maxima, low angle first, 2θ = 10–80°:
d 3.870, I = 54.7, hkl 1 1 1
d 2.370, I = 9.8, hkl 2 2 0
d 2.021, I = 100.0, hkl 3 1 1
d 1.935, I = 65.7, hkl 2 2 2
d 1.676, I = 17.5, hkl 4 0 0
d 1.538, I = 9.6, hkl 3 3 1
d 1.368, I = 3.4, hkl 4 2 2
d 1.290, I = 27.7, hkl 5 1 1

# 12
Diffraction record for AlFe3. The X-ray diffraction stick pattern is simulated, not measured: it uses a structure optimized by DFT (PBE) and CuKα.
Intensities are scaled so that the largest is 100.

```
data_AlFe3
_cell_length_a 3.649
_cell_length_b 3.649
_cell_length_c 3.649
_cell_angle_alpha 90.00
_cell_angle_beta 90.00
_cell_angle_gamma 90.00
_space_group_name_H-M_alt 'P m -3 m'
_space_group_IT_number 221
_space_group_name_Hall '-P 4 2 3'
loop_
_atom_site_label
_atom_site_type_symbol
_atom_site_fract_x
_atom_site_fract_y
_atom_site_fract_z
Al1 Al 0.000 0.000 0.000
Fe1 Fe 0.000 0.500 0.500
```

Largest 8 diffraction maxima, low angle first, 2θ = 10–80°:
d 3.649, I = 8.7, hkl 1 0 0
d 2.580, I = 6.9, hkl 1 1 0
d 2.107, I = 100.0, hkl 1 1 1
d 1.825, I = 46.5, hkl 2 0 0
d 1.632, I = 2.9, hkl 2 1 0
d 1.490, I = 2.0, hkl 2 1 1
d 1.290, I = 26.9, hkl 2 2 0
d 1.216, I = 1.2, hkl 3 0 0